For Ho4US7, a crystal structure in the Materials Project, relaxed with PBE gives the theoretical PXRD pattern in this record (Cu Kα).
Kinematic intensities with the Lorentz-polarization factor, no thermal factor.

Largest 6 diffraction maxima, low angle first, 2θ = 5–70°:
2θ (°)  d (Å)  I_rel
24.0  3.711  100
24.4  3.643  93
26.5  3.363  46
27.9  3.193  49
31.8  2.815  49
33.4  2.684  61

Structural model:
a = 6.6602 Å, b = 6.6602 Å, c = 11.6266 Å
α = 104.19°, β = 104.19°, γ = 32.90°
Positions (direct):
Ho 0.0000 0.0000 0.0000
Ho 0.3972 0.3972 0.6227
Ho 0.5817 0.5817 0.3890
Ho 0.6995 0.6995 0.8096
U 0.8149 0.8149 0.2358
S 0.0398 0.0398 0.7612
S 0.1981 0.1981 0.3142
S 0.3581 0.3581 0.8626
S 0.4433 0.4433 0.1606
S 0.6591 0.6591 0.0254
S 0.7396 0.7396 0.5964
S 0.9596 0.9596 0.4645

***

For NaMg14Al, a crystal structure in the Materials Project, relaxed with PBE gives the theoretical PXRD pattern in this record (Cu Kα).
Kinematic intensities with the Lorentz-polarization factor, no thermal factor.

Largest 6 diffraction maxima, low angle first, 2θ = 5–70°:
2θ (°)  d (Å)  I_rel
32.4  2.760  23
34.4  2.606  40
36.8  2.439  100
37.0  2.431  49
48.0  1.894  23
63.2  1.470  19

Structural model:
a = 10.4235 Å, b = 6.3570 Å, c = 6.3570 Å
α = 60.27°, β = 90.00°, γ = 90.00°
Positions (direct):
Na 0.0000 0.0000 0.0000
Mg 0.0000 0.0030 0.4962
Mg 0.0000 0.4962 0.0030
Mg 0.2458 0.6652 0.6652
Mg 0.2493 0.1716 0.6627
Mg 0.2493 0.6627 0.1716
Mg 0.2532 0.1682 0.1682
Mg 0.5000 0.9997 0.9997
Mg 0.5000 0.9998 0.5002
Mg 0.5000 0.5002 0.9998
Mg 0.5000 0.4999 0.4999
Mg 0.7468 0.1682 0.1682
Mg 0.7507 0.1716 0.6627
Mg 0.7507 0.6627 0.1716
Mg 0.7542 0.6652 0.6652
Al 0.0000 0.4976 0.4976

***

For NaLi2Ru6O12, a crystal structure in the Materials Project, relaxed with PBE gives the theoretical PXRD pattern in this record (Cu Kα).
Kinematic intensities with the Lorentz-polarization factor, no thermal factor.

Largest 6 diffraction maxima, low angle first, 2θ = 5–70°:
2θ (°)  d (Å)  I_rel
18.5  4.786  100
32.4  2.763  89
37.6  2.391  99
50.5  1.808  55
57.8  1.595  19
61.3  1.513  46

Structural model:
a = 9.5717 Å, b = 9.5717 Å, c = 2.7597 Å
α = 90.00°, β = 90.00°, γ = 120.00°
Positions (direct):
Na 0.0000 0.0000 0.0000
Li 0.3333 0.6667 0.5000
Li 0.6667 0.3333 0.0000
Ru 0.0175 0.3588 0.5000
Ru 0.3413 0.9825 0.5000
Ru 0.3590 0.3416 0.0000
Ru 0.6412 0.6587 0.5000
Ru 0.6584 0.0174 0.0000
Ru 0.9826 0.6410 0.0000
O 0.1051 0.8127 0.5000
O 0.1331 0.5442 0.0000
O 0.1873 0.2924 0.5000
O 0.2960 0.1073 0.0000
O 0.4111 0.8669 0.0000
O 0.4558 0.5889 0.0000
O 0.5442 0.4117 0.5000
O 0.5883 0.1326 0.5000
O 0.7076 0.8949 0.5000
O 0.8113 0.7040 0.0000
O 0.8674 0.4558 0.5000
O 0.8927 0.1887 0.0000

***

For BaPr2CoS5, a crystal structure in the Materials Project, relaxed with PBE gives the theoretical PXRD pattern in this record (Cu Kα).
Kinematic intensities with the Lorentz-polarization factor, no thermal factor.

Largest 6 diffraction maxima, low angle first, 2θ = 5–70°:
2θ (°)  d (Å)  I_rel
26.0  3.423  100
26.4  3.382  28
32.1  2.787  85
35.8  2.507  36
42.0  2.151  29
47.8  1.902  23

Structural model:
a = 8.7850 Å, b = 8.7850 Å, c = 8.7850 Å
α = 126.36°, β = 126.36°, γ = 79.29°
Positions (direct):
Ba 0.2500 0.2500 0.0000
Ba 0.7500 0.7500 0.0000
Pr 0.1632 0.6632 0.8264
Pr 0.3368 0.1632 0.5000
Pr 0.6632 0.8368 0.5000
Pr 0.8368 0.3368 0.1736
Co 0.2500 0.7500 0.5000
Co 0.7500 0.2500 0.5000
S 0.0000 0.0000 0.0000
S 0.0091 0.2183 0.5000
S 0.2183 0.7183 0.2093
S 0.2817 0.4909 0.5000
S 0.4909 0.9909 0.2093
S 0.5000 0.5000 0.0000
S 0.5091 0.0091 0.7907
S 0.7183 0.5091 0.5000
S 0.7817 0.2817 0.7907
S 0.9909 0.7817 0.5000

***

For BaYBr5, a crystal structure in the Materials Project, relaxed with PBE gives the theoretical PXRD pattern in this record (Cu Kα).
Kinematic intensities with the Lorentz-polarization factor, no thermal factor.

Largest 6 diffraction maxima, low angle first, 2θ = 5–70°:
2θ (°)  d (Å)  I_rel
14.9  5.928  100
18.7  4.748  84
19.2  4.633  42
30.2  2.964  71
32.4  2.765  58
33.2  2.696  53

Structural model:
a = 8.0339 Å, b = 8.0339 Å, c = 11.0583 Å
α = 110.54°, β = 110.54°, γ = 70.43°
Positions (direct):
Ba 0.0561 0.9439 0.7500
Ba 0.9439 0.0561 0.2500
Y 0.5000 0.5000 0.0000
Y 0.5000 0.5000 0.5000
Br 0.1857 0.7880 0.0293
Br 0.2120 0.8143 0.4707
Br 0.2471 0.2898 0.3789
Br 0.2898 0.2471 0.8789
Br 0.4223 0.5777 0.7500
Br 0.5777 0.4223 0.2500
Br 0.7102 0.7529 0.1211
Br 0.7529 0.7102 0.6211
Br 0.7880 0.1857 0.5293
Br 0.8143 0.2120 0.9707

***

For Zr3Fe3C, a crystal structure in the Materials Project, relaxed with PBE gives the theoretical PXRD pattern in this record (Cu Kα).
Kinematic intensities with the Lorentz-polarization factor, no thermal factor.

Largest 6 diffraction maxima, low angle first, 2θ = 5–70°:
2θ (°)  d (Å)  I_rel
30.2  2.959  16
33.0  2.716  21
37.2  2.416  42
39.6  2.278  100
43.2  2.093  42
67.1  1.395  40

Structural model:
a = 8.3702 Å, b = 8.3702 Å, c = 8.3702 Å
α = 60.00°, β = 60.00°, γ = 60.00°
Positions (direct):
Zr 0.0762 0.0762 0.6738
Zr 0.0762 0.6738 0.0762
Zr 0.0762 0.6738 0.6738
Zr 0.3262 0.3262 0.9238
Zr 0.3262 0.9238 0.3262
Zr 0.3262 0.9238 0.9238
Zr 0.6738 0.0762 0.0762
Zr 0.6738 0.0762 0.6738
Zr 0.6738 0.6738 0.0762
Zr 0.9238 0.3262 0.3262
Zr 0.9238 0.3262 0.9238
Zr 0.9238 0.9238 0.3262
Fe 0.0000 0.5000 0.5000
Fe 0.3038 0.3038 0.3038
Fe 0.3038 0.3038 0.5886
Fe 0.3038 0.5886 0.3038
Fe 0.4114 0.6962 0.6962
Fe 0.5000 0.0000 0.5000
Fe 0.5000 0.5000 0.0000
Fe 0.5000 0.5000 0.5000
Fe 0.5886 0.3038 0.3038
Fe 0.6962 0.4114 0.6962
Fe 0.6962 0.6962 0.4114
Fe 0.6962 0.6962 0.6962
C 0.0000 0.0000 0.0000
C 0.0000 0.0000 0.5000
C 0.0000 0.5000 0.0000
C 0.5000 0.0000 0.0000